1.
For KB2O, the GGA-PBE geometry in Alexandria gives the computed X-ray powder pattern in this record (a wavelength of 1.5418 Å).
Peak positions follow from Bragg's law for the DFT cell and can differ from measured ones.

Crystal structure
```
data_KB2O
_cell_length_a 3.5284
_cell_length_b 3.5284
_cell_length_c 15.7533
_cell_angle_alpha 90.00
_cell_angle_beta 90.00
_cell_angle_gamma 90.00
_space_group_name_H-M_alt 'I 41/a m d'
_space_group_IT_number 141
loop_
_space_group_symop_operation_xyz
'x,y,z'
'-x,-y,-z'
'-y+1/4,x+3/4,z+1/4'
'y+1/4,-x+3/4,-z+1/4'
'-x+1/2,-y,z+1/2'
'x+1/2,y,-z+1/2'
'y+1/4,-x+1/4,z+3/4'
'-y+1/4,x+1/4,-z+3/4'
'x,-y,-z'
'-x,y,z'
'-y+1/4,-x+1/4,-z+3/4'
'y+1/4,x+1/4,z+3/4'
'-x+1/2,y,-z+1/2'
'x+1/2,-y,z+1/2'
'y+1/4,x+3/4,-z+1/4'
'-y+1/4,-x+3/4,z+1/4'
'x+1/2,y+1/2,z+1/2'
'-x+1/2,-y+1/2,-z+1/2'
'-y+3/4,x+1/4,z+3/4'
'y+3/4,-x+1/4,-z+3/4'
'-x,-y+1/2,z'
'x,y+1/2,-z'
'y+3/4,-x+3/4,z+1/4'
'-y+3/4,x+3/4,-z+1/4'
'x+1/2,-y+1/2,-z+1/2'
'-x+1/2,y+1/2,z+1/2'
'-y+3/4,-x+3/4,-z+1/4'
'y+3/4,x+3/4,z+1/4'
'-x,y+1/2,-z'
'x,-y+1/2,z'
'y+3/4,x+1/4,-z+3/4'
'-y+3/4,-x+1/4,z+3/4'
loop_
_atom_site_label
_atom_site_fract_x
_atom_site_fract_y
_atom_site_fract_z
K1 0.0000 0.2500 0.3750
B1 0.0000 0.0000 0.0000
O1 0.0000 0.2500 0.8750
```

Most intense lines, 2θ = 5–70°, by angle:
| d (Å) | Rel. int. | hkl |
| --- | --- | --- |
| 3.938 | 51 | 0 0 4 |
| 3.443 | 5 | 1 0 1 |
| 2.929 | 37 | 1 0 3 |
| 2.378 | 100 | 1 1 2 |
| 2.350 | 18 | 1 0 5 |
| 1.969 | 21 | 0 0 8 |
| 1.809 | 38 | 1 1 6 |
| 1.764 | 17 | 2 0 0 |
| 1.610 | 24 | 2 0 4 |
| 1.570 | 10 | 2 1 1 |

---

2.
For Pd8Pt3Au, the GGA-PBE geometry in Alexandria gives the computed X-ray powder pattern in this record (a wavelength of 1.5418 Å).
Peak positions follow from Bragg's law for the DFT cell and can differ from measured ones.

Crystal structure
```
data_Pd8Pt3Au
_cell_length_a 4.8558
_cell_length_b 6.2751
_cell_length_c 6.8859
_cell_angle_alpha 68.48
_cell_angle_beta 89.76
_cell_angle_gamma 75.03
_space_group_name_H-M_alt 'P -1'
_space_group_IT_number 2
_space_group_name_Hall '-P 1'
loop_
_atom_site_label
_atom_site_fract_x
_atom_site_fract_y
_atom_site_fract_z
Pd1 0.0823 0.2469 0.0836
Pd2 0.1668 0.5016 0.6654
Pd3 0.3324 0.0033 0.8339
Pd4 0.4148 0.2492 0.4182
Pt1 0.0000 0.0000 0.5000
Pt2 0.2458 0.7533 0.2542
Au1 0.5000 0.5000 0.0000
```

Most intense lines, 2θ = 5–70°, by angle:
| d (Å) | Rel. int. | hkl |
| --- | --- | --- |
| 4.204 | 7 | 1 1 0 |
| 3.594 | 9 | 1 0 1 |
| 2.662 | 4 | 0 2 2 |
| 2.293 | 100 | 2 1 1 |
| 2.288 | 33 | 1 2 -1 |
| 1.987 | 43 | 1 -1 2 |
| 1.980 | 21 | 2 0 -2 |
| 1.407 | 7 | 2 2 4 |
| 1.403 | 28 | 0 4 0 |
| 1.401 | 7 | 3 3 0 |

---

3.
For NpCrCo4, the GGA-PBE geometry in Alexandria gives the computed X-ray powder pattern in this record (a wavelength of 1.5418 Å).
Peak positions follow from Bragg's law for the DFT cell and can differ from measured ones.

Crystal structure
```
data_NpCrCo4
_cell_length_a 6.8491
_cell_length_b 6.8491
_cell_length_c 6.8491
_cell_angle_alpha 90.00
_cell_angle_beta 90.00
_cell_angle_gamma 90.00
_space_group_name_H-M_alt 'F -4 3 m'
_space_group_IT_number 216
_space_group_name_Hall 'F -4 2 3'
loop_
_atom_site_label
_atom_site_fract_x
_atom_site_fract_y
_atom_site_fract_z
Np1 0.0000 0.0000 0.0000
Cr1 0.2500 0.2500 0.7500
Co1 0.1242 0.1242 0.3758
```

Most intense lines, 2θ = 5–70°, by angle:
| d (Å) | Rel. int. | hkl |
| --- | --- | --- |
| 3.954 | 31 | 1 1 1 |
| 3.425 | 26 | 2 0 0 |
| 2.422 | 53 | 2 2 0 |
| 2.065 | 100 | 3 1 1 |
| 1.977 | 22 | 2 2 2 |
| 1.571 | 9 | 3 3 1 |
| 1.532 | 11 | 4 2 0 |
| 1.398 | 19 | 4 2 2 |